# PmPr2DyY2
Computed XRD peak list, Cu Kα. Input: the GGA-PBE geometry in Alexandria.

The 6 most intense peaks (2θ = 10–80°), in order of falling intensity:
2theta, I (rel.)
30.0, 1000
28.4, 639
33.4, 526
30.9, 379
40.5, 349
35.6, 302

Cell and atoms:
Cell: 6.712 17.860 3.434 Å, 90.00 90.00 90.00°
Space group Pnnm (No. 58)
One atom of each set of equivalent atoms:
Pm 0.000 0.000 0.000 (multiplicity 2)
Pr 0.231 0.349 0.500 (multiplicity 4)
Dy 0.000 0.500 0.000 (multiplicity 2)
Y 0.236 0.178 0.000 (multiplicity 4)


# Pm2Pr2DyY
Computed XRD peak list, Cu Kα. Input: the GGA-PBE geometry in Alexandria.

The 6 most intense peaks (2θ = 10–80°), in order of falling intensity:
2theta, I (rel.)
31.1, 1000
30.8, 845
55.2, 321
44.4, 308
61.2, 289
55.4, 193

Cell and atoms:
Cell: 7.133 5.741 9.956 Å, 90.00 90.00 90.00°
Space group Pmma (No. 51)
One atom of each set of equivalent atoms:
Pm 0.250 0.000 0.163 (multiplicity 2)
Pm 0.250 0.500 0.668 (multiplicity 2)
Pr 0.000 0.500 0.000 (multiplicity 2)
Pr 0.250 0.000 0.824 (multiplicity 2)
Dy 0.250 0.500 0.340 (multiplicity 2)
Y 0.000 0.000 0.500 (multiplicity 2)